(1)
Diffraction record for Cd3GaPd. The X-ray diffraction stick pattern is calculated, not measured: it uses a DFT-relaxed cell (GGA-PBE, Alexandria) and Cu Kα.
No peak broadening, texture or thermal motion is included.

Cell and atoms:
a = 2.9354 Å, b = 5.3267 Å, c = 14.4705 Å
α = 90.00°, β = 90.00°, γ = 90.00°
Space group Amm2 (No. 38)
Asymmetric unit:
Cd 0.0000 0.0000 0.0000
Cd 0.5000 0.2481 0.3340
Ga 0.0000 0.0000 0.6542
Pd 0.5000 0.0000 0.1608

Peak list (10 most intense, 2θ = 10–90°, most intense first)
2θ (°), I_rel, index
35.9, 100.0, 0 2 2
39.7, 81.8, 1 1 3
37.3, 76.7, 0 0 6
32.9, 73.3, 1 0 2
17.7, 67.2, 0 1 1
42.1, 49.0, 0 2 4
39.5, 41.8, 1 0 4
35.5, 31.8, 1 1 1
46.0, 29.5, 1 2 0
47.8, 29.1, 1 2 2

***

(2)
Diffraction record for Cd6GaPd. The X-ray diffraction stick pattern is calculated, not measured: it uses a DFT-relaxed cell (GGA-PBE, Alexandria) and Cu Kα.
No peak broadening, texture or thermal motion is included.

Cell and atoms:
a = 6.2530 Å, b = 10.8917 Å, c = 5.9682 Å
α = 90.00°, β = 118.11°, γ = 90.00°
Space group C2/m (No. 12)
Asymmetric unit:
Cd 0.0075 0.0000 0.2539
Cd 0.0111 0.2790 0.7516
Ga 0.0000 0.5000 0.0000
Pd 0.0000 0.5000 0.5000

Peak list (10 most intense, 2θ = 10–90°, most intense first)
2θ (°), I_rel, index
32.5, 100.0, 2 0 0
32.9, 73.3, 0 4 0
39.1, 67.5, 1 3 -2
46.9, 53.9, 2 4 0
31.1, 32.4, 1 1 -2
68.0, 31.8, 1 7 -2
34.1, 30.1, 0 0 2
51.5, 29.3, 1 3 2
34.3, 29.3, 2 0 -2
51.8, 28.5, 3 3 -2

***

(3)
Diffraction record for CdGaPd14. The X-ray diffraction stick pattern is calculated, not measured: it uses a DFT-relaxed cell (GGA-PBE, Alexandria) and Cu Kα.
No peak broadening, texture or thermal motion is included.

Cell and atoms:
a = 5.6529 Å, b = 5.6529 Å, c = 7.7841 Å
α = 90.00°, β = 90.00°, γ = 90.00°
Space group P4/mmm (No. 123)
Asymmetric unit:
Cd 0.0000 0.0000 0.0000
Ga 0.5000 0.5000 0.0000
Pd 0.0000 0.0000 0.5000
Pd 0.0000 0.5000 0.0000
Pd 0.0000 0.5000 0.5000
Pd 0.2539 0.2539 0.2480
Pd 0.5000 0.5000 0.5000

Peak list (8 most intense, 2θ = 10–90°, most intense first)
2θ (°), I_rel, index
39.4, 100.0, 2 0 2
45.4, 33.2, 2 2 0
79.8, 24.3, 4 2 2
67.1, 20.0, 2 2 4
46.7, 15.3, 0 0 4
81.7, 11.5, 2 0 6
84.8, 10.5, 4 0 4
66.1, 10.5, 4 0 0

***

(4)
Diffraction record for Cd3GaPd6. The X-ray diffraction stick pattern is calculated, not measured: it uses a DFT-relaxed cell (GGA-PBE, Alexandria) and Cu Kα.
No peak broadening, texture or thermal motion is included.

Cell and atoms:
a = 7.7475 Å, b = 4.6229 Å, c = 9.7788 Å
α = 90.00°, β = 108.78°, γ = 90.00°
Space group P2_1/m (No. 11)
Asymmetric unit:
Cd 0.0320 0.2500 0.3866
Cd 0.1312 0.7500 0.2132
Cd 0.2744 0.2500 0.9923
Ga 0.4538 0.2500 0.5957
Pd 0.0461 0.7500 0.9170
Pd 0.1785 0.2500 0.6848
Pd 0.2722 0.7500 0.5106
Pd 0.3515 0.7500 0.8179
Pd 0.3588 0.2500 0.3126
Pd 0.4392 0.7500 0.1308

Peak list (10 most intense, 2θ = 10–90°, most intense first)
2θ (°), I_rel, index
40.2, 100.0, 1 1 3
40.0, 96.7, 3 1 -1
39.0, 59.9, 0 2 0
38.7, 46.9, 2 0 -4
56.1, 31.0, 2 2 -4
71.3, 27.6, 3 3 -1
73.8, 17.7, 4 2 2
71.4, 17.5, 1 3 3
59.9, 14.4, 4 0 2
43.6, 10.4, 2 1 -4

***

(5)
Diffraction record for YCdGa2Pd5. The X-ray diffraction stick pattern is calculated, not measured: it uses a DFT-relaxed cell (GGA-PBE, Alexandria) and Cu Kα.
No peak broadening, texture or thermal motion is included.

Cell and atoms:
a = 4.1609 Å, b = 4.1609 Å, c = 9.3177 Å
α = 90.00°, β = 90.00°, γ = 90.00°
Space group P4/mmm (No. 123)
Asymmetric unit:
Y 0.0000 0.0000 0.0000
Cd 0.0000 0.0000 0.5000
Ga 0.5000 0.5000 0.3686
Pd 0.0000 0.5000 0.2233
Pd 0.5000 0.5000 0.0000

Peak list (10 most intense, 2θ = 10–90°, most intense first)
2θ (°), I_rel, index
36.1, 100.0, 1 1 2
43.5, 41.4, 2 0 0
75.0, 21.2, 3 1 2
42.3, 18.7, 1 1 3
63.2, 13.2, 2 2 0
59.6, 10.4, 2 0 4
38.7, 9.4, 0 0 4
68.3, 8.8, 1 1 6
79.0, 8.0, 3 1 3
67.5, 6.5, 2 0 5

***

(6)
Diffraction record for Pm3Cd4Ga4. The X-ray diffraction stick pattern is calculated, not measured: it uses a DFT-relaxed cell (GGA-PBE, Alexandria) and Cu Kα.
No peak broadening, texture or thermal motion is included.

Cell and atoms:
a = 4.5501 Å, b = 7.3545 Å, c = 15.1144 Å
α = 90.00°, β = 90.00°, γ = 90.00°
Space group Immm (No. 71)
Asymmetric unit:
Pm 0.0000 0.0000 0.0000
Pm 0.0000 0.5000 0.1224
Cd 0.0000 0.3055 0.3336
Ga 0.0000 0.0000 0.2193
Ga 0.0000 0.1782 0.5000

Peak list (10 most intense, 2θ = 10–90°, most intense first)
2θ (°), I_rel, index
31.8, 100.0, 1 2 1
33.1, 99.7, 1 1 4
39.6, 45.8, 2 0 0
40.9, 37.9, 0 3 3
32.0, 29.4, 0 1 5
35.6, 28.5, 0 0 6
43.6, 27.6, 0 2 6
58.3, 26.1, 2 3 3
36.1, 25.5, 1 2 3
71.9, 16.9, 1 5 4

***

(7)
Diffraction record for Pm3Cd4Ga2. The X-ray diffraction stick pattern is calculated, not measured: it uses a DFT-relaxed cell (GGA-PBE, Alexandria) and Cu Kα.
No peak broadening, texture or thermal motion is included.

Cell and atoms:
a = 11.1005 Å, b = 4.8449 Å, c = 9.1358 Å
α = 90.00°, β = 116.09°, γ = 90.00°
Space group C2/m (No. 12)
Asymmetric unit:
Pm 0.0000 0.0000 0.0000
Pm 0.1662 0.5000 0.6680
Cd 0.0711 0.0000 0.4004
Cd 0.2064 0.5000 0.0438
Ga 0.1072 0.5000 0.2743

Peak list (10 most intense, 2θ = 10–90°, most intense first)
2θ (°), I_rel, index
32.7, 100.0, 1 1 2
37.1, 85.9, 0 2 0
64.2, 31.8, 7 1 -1
32.7, 20.3, 0 0 3
64.4, 19.7, 1 1 5
50.3, 17.9, 2 0 -5
50.2, 17.6, 4 2 -1
66.9, 14.6, 3 3 -3
64.0, 10.9, 7 1 -4
50.5, 10.2, 4 0 2

***

(8)
Diffraction record for Pm5Cd2Ga. The X-ray diffraction stick pattern is calculated, not measured: it uses a DFT-relaxed cell (GGA-PBE, Alexandria) and Cu Kα.
No peak broadening, texture or thermal motion is included.

Cell and atoms:
a = 6.7198 Å, b = 12.9252 Å, c = 5.3403 Å
α = 90.00°, β = 90.00°, γ = 90.00°
Space group Pbam (No. 55)
Asymmetric unit:
Pm 0.0000 0.0000 0.0000
Pm 0.1467 0.3966 0.5000
Pm 0.1516 0.7200 0.0000
Cd 0.1189 0.1412 0.5000
Ga 0.0000 0.5000 0.0000

Peak list (10 most intense, 2θ = 10–90°, most intense first)
2θ (°), I_rel, index
32.4, 100.0, 0 4 1
32.2, 97.1, 2 1 1
33.6, 60.8, 0 0 2
33.8, 40.2, 2 3 0
59.2, 34.2, 0 4 3
48.4, 29.2, 2 3 2
34.5, 23.6, 2 2 1
29.8, 19.1, 1 3 1
30.7, 17.1, 1 4 0
56.6, 15.9, 4 2 0

***

(9)
Diffraction record for Pm3Cd2Ga4. The X-ray diffraction stick pattern is calculated, not measured: it uses a DFT-relaxed cell (GGA-PBE, Alexandria) and Cu Kα.
No peak broadening, texture or thermal motion is included.

Cell and atoms:
a = 11.0375 Å, b = 4.5883 Å, c = 8.8747 Å
α = 90.00°, β = 109.95°, γ = 90.00°
Space group C2/m (No. 12)
Asymmetric unit:
Pm 0.0000 0.0000 0.0000
Pm 0.1705 0.5000 0.6667
Cd 0.1036 0.5000 0.2718
Ga 0.0711 0.0000 0.4148
Ga 0.2011 0.5000 0.0261

Peak list (10 most intense, 2θ = 10–90°, most intense first)
2θ (°), I_rel, index
39.2, 100.0, 0 2 0
32.3, 88.2, 1 1 2
32.4, 86.2, 4 0 -1
51.8, 23.5, 4 2 -1
47.2, 15.8, 4 0 2
22.4, 14.8, 1 1 -1
51.7, 14.4, 0 2 3
66.9, 14.2, 7 1 -4
62.7, 14.1, 1 1 5
66.9, 14.0, 1 3 2

***

(10)
Diffraction record for PmCd2GaPt2. The X-ray diffraction stick pattern is calculated, not measured: it uses a DFT-relaxed cell (GGA-PBE, Alexandria) and Cu Kα.
No peak broadening, texture or thermal motion is included.

Cell and atoms:
a = 5.3657 Å, b = 5.3657 Å, c = 10.4424 Å
α = 90.00°, β = 90.00°, γ = 90.00°
Space group I4/mmm (No. 139)
Asymmetric unit:
Pm 0.0000 0.0000 0.0000
Cd 0.0000 0.5000 0.2500
Ga 0.0000 0.0000 0.5000
Pt 0.0000 0.0000 0.2714

Peak list (10 most intense, 2θ = 10–90°, most intense first)
2θ (°), I_rel, index
33.4, 100.0, 2 0 0
48.7, 60.5, 2 0 4
17.0, 53.3, 0 0 2
23.4, 48.6, 1 1 0
34.4, 40.6, 0 0 4
48.0, 36.2, 2 2 0
60.3, 31.6, 2 2 4
37.7, 29.7, 2 0 2
30.6, 18.0, 1 0 3
80.0, 16.1, 4 2 0

***

(11)
Diffraction record for PrCd9Ga3. The X-ray diffraction stick pattern is calculated, not measured: it uses a DFT-relaxed cell (GGA-PBE, Alexandria) and Cu Kα.
No peak broadening, texture or thermal motion is included.

Cell and atoms:
a = 6.1046 Å, b = 13.6578 Å, c = 7.6079 Å
α = 90.00°, β = 113.49°, γ = 90.00°
Space group C2/m (No. 12)
Asymmetric unit:
Pr 0.0000 0.0000 0.0000
Cd 0.0000 0.0000 0.5000
Cd 0.1046 0.3914 0.2131
Cd 0.1780 0.1760 0.3470
Ga 0.0000 0.5000 0.5000
Ga 0.2500 0.2500 0.0000

Peak list (10 most intense, 2θ = 10–90°, most intense first)
2θ (°), I_rel, index
34.7, 100.0, 2 2 0
36.0, 83.4, 1 1 2
36.6, 83.1, 1 5 0
36.8, 79.4, 0 4 2
31.2, 78.2, 1 3 -2
39.6, 49.2, 2 4 -1
29.3, 47.9, 2 0 -1
41.0, 31.8, 0 2 3
39.3, 25.7, 2 0 -3
56.8, 22.4, 3 5 -2

***

(12)
Diffraction record for Pr2CdGa3. The X-ray diffraction stick pattern is calculated, not measured: it uses a DFT-relaxed cell (GGA-PBE, Alexandria) and Cu Kα.
No peak broadening, texture or thermal motion is included.

Cell and atoms:
a = 7.8788 Å, b = 9.1598 Å, c = 15.8302 Å
α = 90.00°, β = 90.00°, γ = 90.00°
Space group Fmmm (No. 69)
Asymmetric unit:
Pr 0.2498 0.0000 0.0000
Pr 0.2500 0.2500 0.2500
Cd 0.0000 0.0000 0.1668
Ga 0.0000 0.0000 0.3374
Ga 0.0000 0.2434 0.4186

Peak list (10 most intense, 2θ = 10–90°, most intense first)
2θ (°), I_rel, index
32.0, 100.0, 2 2 2
39.4, 78.8, 0 4 0
32.1, 49.3, 2 0 4
62.2, 40.0, 4 4 0
51.6, 25.4, 2 4 4
66.8, 22.9, 2 6 2
46.1, 16.8, 4 0 0
22.4, 14.1, 0 2 2
51.7, 12.6, 2 0 8
76.4, 11.7, 6 2 2